1.
This entry pairs a crystal structure of RbCr2BiO8 with its theoretical powder X-ray diffraction pattern. Radiation: CuKα. Structure: the GGA+U geometry in the Materials Project.

Unit cell a=10.260 b=13.454 c=5.766 alpha=90.00 beta=90.00 gamma=90.00
Space group Pnna (No. 52)
Symmetry-distinct sites (fractional):
Rb (0.080, 0.250, 0.250) [4 per cell]
Cr (0.085, 0.583, 0.235) [8 per cell]
Bi (0.250, 0.000, 0.796) [4 per cell]
O (0.074, 0.110, 0.711) [8 per cell]
O (0.102, 0.033, 0.183) [8 per cell]
O (0.155, 0.650, 0.440) [8 per cell]
O (0.160, 0.600, 0.973) [8 per cell]

Top 8 peaks for 2θ from 10° to 80°, in order of rising 2θ:
2theta	Rel. int.
13.2	94
21.8	58
22.1	100
26.6	53
30.4	88
31.0	36
33.2	31
40.8	40

=====

2.
This entry pairs a crystal structure of SrCrBiSbO6 with its theoretical powder X-ray diffraction pattern. Radiation: CuKα. Structure: the GGA+U geometry in the Materials Project.

Unit cell a=8.063 b=8.063 c=8.063 alpha=90.00 beta=90.00 gamma=90.00
Space group F-43m (No. 216)
Symmetry-distinct sites (fractional):
Sr (0.000, 0.000, 0.000) [4 per cell]
Cr (0.250, 0.250, 0.250) [4 per cell]
Bi (0.000, 0.000, 0.500) [4 per cell]
Sb (0.250, 0.250, 0.750) [4 per cell]
O (0.001, 0.250, 0.750) [24 per cell]

Top 8 peaks for 2θ from 10° to 80°, in order of rising 2θ:
2theta	Rel. int.
19.1	21
31.4	100
37.0	13
38.7	10
45.0	31
55.9	40
65.5	19
74.4	17

=====

What did the first record say?
This entry pairs a crystal structure of RbCr2BiO8 with its theoretical powder X-ray diffraction pattern. Radiation: CuKα. Structure: the GGA+U geometry in the Materials Project.

Unit cell a=10.260 b=13.454 c=5.766 alpha=90.00 beta=90.00 gamma=90.00
Space group Pnna (No. 52)
Symmetry-distinct sites (fractional):
Rb (0.080, 0.250, 0.250) [4 per cell]
Cr (0.085, 0.583, 0.235) [8 per cell]
Bi (0.250, 0.000, 0.796) [4 per cell]
O (0.074, 0.110, 0.711) [8 per cell]
O (0.102, 0.033, 0.183) [8 per cell]
O (0.155, 0.650, 0.440) [8 per cell]
O (0.160, 0.600, 0.973) [8 per cell]

Top 8 peaks for 2θ from 10° to 80°, in order of rising 2θ:
2theta	Rel. int.
13.2	94
21.8	58
22.1	100
26.6	53
30.4	88
31.0	36
33.2	31
40.8	40

=====

> What is the formula in the second record?

SrCrBiSbO6